1.
Diffraction record for Rb3Tl2Cd2. The XRD peak list is simulated, not measured: it uses a GGA-PBE-relaxed structure and λ = 1.5418 Å (Cu Kα).

a b c (Å): 7.371 10.066 16.100
angles (deg): 90.00 90.00 90.00
Space group Pbcm (No. 57)
Unique sites:
Rb  0.123  0.119  0.102
Rb  0.339  0.728  0.750
Tl  0.184  0.082  0.750
Tl  0.380  0.750  0.000
Cd  0.393  0.026  0.589

Largest 6 diffraction maxima, by angle, 15° ≤ 2θ ≤ 90°:
- 15.89°, d = 5.579 Å, I = 60
- 16.30°, d = 5.436 Å, I = 49
- 25.74°, d = 3.461 Å, I = 63
- 29.24°, d = 3.054 Å, I = 75
- 30.74°, d = 2.909 Å, I = 100
- 30.93°, d = 2.891 Å, I = 46

2.
Diffraction record for RbTl2Cd4. The XRD peak list is simulated, not measured: it uses a GGA-PBE-relaxed structure and λ = 1.5418 Å (Cu Kα).

a b c (Å): 5.0148 5.0148 30.2215
angles (deg): 90.00 90.00 120.00
Space group R-3m (No. 166, hexagonal axes)
Unique sites:
Rb  0.0000  0.0000  0.0000
Tl  0.0000  0.0000  0.2540
Cd  0.0000  0.0000  0.1430
Cd  0.0000  0.0000  0.4462

Largest 6 diffraction maxima, by angle, 15° ≤ 2θ ≤ 90°:
- 23.63°, d = 3.765 Å, I = 34
- 29.17°, d = 3.062 Å, I = 59
- 31.38°, d = 2.850 Å, I = 27
- 35.81°, d = 2.507 Å, I = 100
- 36.21°, d = 2.481 Å, I = 58
- 64.61°, d = 1.442 Å, I = 21

3.
Diffraction record for RbTl3Cd3. The XRD peak list is simulated, not measured: it uses a GGA-PBE-relaxed structure and λ = 1.5418 Å (Cu Kα).

a b c (Å): 8.9326 8.9326 19.3834
angles (deg): 90.00 90.00 120.00
Space group R-3m (No. 166, hexagonal axes)
Unique sites:
Rb  0.0000  0.0000  0.1266
Tl  0.0774  0.5387  0.3628
Cd  0.0941  0.5470  0.1047

Largest 6 diffraction maxima, by angle, 15° ≤ 2θ ≤ 90°:
- 29.55°, d = 3.023 Å, I = 100
- 30.93°, d = 2.891 Å, I = 62
- 34.40°, d = 2.607 Å, I = 25
- 35.87°, d = 2.503 Å, I = 20
- 37.56°, d = 2.395 Å, I = 59
- 62.11°, d = 1.494 Å, I = 19

Please write out number 1 again, unchanged.
Diffraction record for Rb3Tl2Cd2. The XRD peak list is simulated, not measured: it uses a GGA-PBE-relaxed structure and λ = 1.5418 Å (Cu Kα).

a b c (Å): 7.371 10.066 16.100
angles (deg): 90.00 90.00 90.00
Space group Pbcm (No. 57)
Unique sites:
Rb  0.123  0.119  0.102
Rb  0.339  0.728  0.750
Tl  0.184  0.082  0.750
Tl  0.380  0.750  0.000
Cd  0.393  0.026  0.589

Largest 6 diffraction maxima, by angle, 15° ≤ 2θ ≤ 90°:
- 15.89°, d = 5.579 Å, I = 60
- 16.30°, d = 5.436 Å, I = 49
- 25.74°, d = 3.461 Å, I = 63
- 29.24°, d = 3.054 Å, I = 75
- 30.74°, d = 2.909 Å, I = 100
- 30.93°, d = 2.891 Å, I = 46